This entry pairs a crystal structure of Na3Ge3Au2 with its computed powder XRD pattern. Radiation: a wavelength of 1.5418 Å. Structure: a structure optimized by DFT (PBE).
Peak positions follow from Bragg's law for the DFT cell and can differ from measured ones.

Structural model:
a b c (Å): 8.0288 15.8980 5.6769
angles (deg): 90.00 90.00 90.00
Fractional coordinates of all 32 atoms:
1 Na 0.0462 0.1153 0.1028
2 Na 0.0462 0.3847 0.1028
3 Na 0.2091 0.2500 0.6089
4 Na 0.2909 0.7500 0.1089
5 Na 0.4538 0.6153 0.6028
6 Na 0.4538 0.8847 0.6028
7 Na 0.5462 0.1153 0.3972
8 Na 0.5462 0.3847 0.3972
9 Na 0.7091 0.2500 0.8911
10 Na 0.7909 0.7500 0.3911
11 Na 0.9538 0.6153 0.8972
12 Na 0.9538 0.8847 0.8972
13 Ge 0.1409 0.7500 0.6079
14 Ge 0.1947 0.0307 0.6239
15 Ge 0.1947 0.4693 0.6239
16 Ge 0.3053 0.5307 0.1239
17 Ge 0.3053 0.9693 0.1239
18 Ge 0.3591 0.2500 0.1079
19 Ge 0.6409 0.7500 0.8921
20 Ge 0.6947 0.0307 0.8761
21 Ge 0.6947 0.4693 0.8761
22 Ge 0.8053 0.5307 0.3761
23 Ge 0.8053 0.9693 0.3761
24 Ge 0.8591 0.2500 0.3921
25 Au 0.0869 0.6128 0.4006
26 Au 0.0869 0.8872 0.4006
27 Au 0.4131 0.1128 0.9006
28 Au 0.4131 0.3872 0.9006
29 Au 0.5869 0.6128 0.0994
30 Au 0.5869 0.8872 0.0994
31 Au 0.9131 0.1128 0.5994
32 Au 0.9131 0.3872 0.5994

Top 6 peaks for 10° ≤ 2θ ≤ 90°, low angle first:
(1 0 1), 2θ = 19.15°, I 100; (2 1 0), 2θ = 22.85°, I 43; (0 3 1), 2θ = 22.96°, I 45; (2 4 1), 2θ = 35.50°, I 44; (1 3 2), 2θ = 37.63°, I 84; (1 4 2), 2θ = 40.64°, I 39